The following is a calculated powder diffractogram of Ca2TlCoO4. It was derived from the GGA+U geometry in Alexandria, using Cu Kα (weighted mean of Kα1 and Kα2).
Kinematic intensities with the Lorentz-polarization factor, no thermal factor.

Atomic structure:
Cell: 5.6881 3.4558 5.9471 Å, 90.00 108.50 90.00°
Atoms (fractional coordinates):
Ca 0.0000 0.0000 0.0000
Ca 0.0000 0.5000 0.5000
Tl 0.5000 0.0000 0.5000
Co 0.5000 0.5000 0.0000
O 0.2414 0.0000 0.7548
O 0.2594 0.5000 0.2110
O 0.7406 0.5000 0.7890
O 0.7586 0.0000 0.2452

Peak list (10 most intense, 5° ≤ 2θ ≤ 70°, in order of falling intensity)
Position (°2θ), I (rel.)
37.1, 100.0
32.1, 68.6
16.4, 65.2
38.2, 44.8
15.7, 37.0
31.7, 36.0
30.3, 34.0
53.3, 31.6
33.2, 31.2
30.7, 29.9